The following is a theoretical X-ray diffraction stick pattern of CePr6Nd2. It was derived from the PBE geometry in Alexandria, using Cu Kα (λ = 1.5418 Å).

Crystal structure
Unit cell a=8.313 b=8.313 c=5.633 alpha=90.00 beta=90.00 gamma=123.98
Element x y z (fractional)
1 Ce 0.000 0.000 0.000
2 Pr 0.143 0.425 0.000
3 Pr 0.272 0.272 0.500
4 Pr 0.425 0.143 0.000
5 Pr 0.575 0.857 0.000
6 Pr 0.728 0.728 0.500
7 Pr 0.857 0.575 0.000
8 Nd 0.231 0.769 0.500
9 Nd 0.769 0.231 0.500

Largest 8 diffraction maxima, sorted by position, 2θ = 10–90°:
2θ (°)	I/Imax
26.7	328
29.0	759
30.4	1000
31.8	576
33.5	218
37.2	367
55.0	250
55.8	322